Diffraction record for LiTiS2O. The XRD peak list is computed, not measured: it uses the PBE geometry in the Materials Project and Cu Kα (weighted mean of Kα1 and Kα2).
Peak positions follow from Bragg's law for the DFT cell and can differ from measured ones.

Crystal structure
```
data_LiTiS2O
_cell_length_a 7.8101
_cell_length_b 7.8101
_cell_length_c 7.8101
_cell_angle_alpha 24.92
_cell_angle_beta 24.92
_cell_angle_gamma 24.92
_space_group_name_H-M_alt 'P 1'
_space_group_IT_number 1
_space_group_name_Hall 'P 1'
loop_
_atom_site_label
_atom_site_fract_x
_atom_site_fract_y
_atom_site_fract_z
_atom_site_occupancy
Li1 0.0000 0.0000 0.0000 1
Ti1 0.8344 0.8344 0.8344 1
S1 0.2317 0.2317 0.2317 1
S2 0.4386 0.4386 0.4386 1
O1 0.6676 0.6676 0.6676 1
```

Peak list (12 most intense, 2θ = 10–90°, low angle first)
two_theta  intensity
11.7  97
31.7  30
36.6  100
41.6  21
44.5  16
51.0  23
54.4  33
55.9  9
61.9  11
67.4  14
77.8  6
86.4  8